(1)
Starting from DFT lattice parameters and positions (GGA-PBE), the powder diffractogram of AcDy2Tm6 was simulated for Cu Ka.

Structural model:
```
AcDy2Tm6
1.0
3.600 0.000 0.000
-1.800 3.118 0.000
0.000 0.000 26.023
Ac Dy Tm
1 2 6
Cartesian
0.000 0.000 0.000
0.000 2.079 8.598
0.000 2.079 17.424
0.000 0.000 5.798
0.000 0.000 11.350
0.000 0.000 14.672
0.000 0.000 20.225
0.000 2.079 3.075
0.000 2.079 22.947
```

Largest 10 diffraction maxima, low angle first, 15 to 90 degrees two-theta:
Position (°2θ)  Rel. int.
28.6  54
30.9  51
31.8  86
33.5  100
42.6  34
50.7  43
57.7  24
60.6  46
61.1  20
62.2  17


(2)
Starting from DFT lattice parameters and positions (GGA-PBE), the powder diffractogram of AcDy4Tm8 was simulated for Cu Ka.

Structural model:
```
AcDy4Tm8
1.0
5.027 -3.482 0.000
5.027 3.482 0.000
-3.094 0.000 11.902
Ac Dy Tm
1 4 8
Cartesian
0.000 0.000 0.000
3.480 1.691 5.951
0.868 0.000 7.701
6.092 0.000 4.201
3.480 -1.691 5.951
3.479 1.650 2.520
0.882 0.000 4.137
0.592 0.000 11.169
3.481 1.650 9.382
3.479 -1.650 2.520
6.368 0.000 0.732
6.078 0.000 7.764
3.481 -1.650 9.382
```

Largest 10 diffraction maxima, low angle first, 15 to 90 degrees two-theta:
Position (°2θ)  Rel. int.
31.0  87
31.4  100
31.6  39
32.5  48
34.3  85
35.8  35
39.9  20
53.5  22
62.3  23
63.1  23


(3)
Starting from DFT lattice parameters and positions (GGA-PBE), the powder diffractogram of AcDy4Tm7 was simulated for Cu Ka.

Structural model:
```
AcDy4Tm7
1.0
5.643 0.000 0.000
0.000 21.718 0.000
0.000 0.000 6.241
Ac Dy Tm
2 8 14
Cartesian
1.411 5.430 1.071
4.232 16.289 5.171
1.411 1.764 1.057
1.411 9.095 1.057
1.411 12.650 1.048
1.411 19.928 1.048
4.232 1.791 5.194
4.232 9.069 5.194
4.232 12.623 5.184
4.232 19.954 5.184
1.411 0.001 4.153
1.411 3.558 4.168
1.411 7.301 4.168
1.411 10.858 4.153
1.411 14.411 4.135
1.411 16.289 1.096
1.411 18.166 4.135
4.232 21.718 2.088
4.232 3.552 2.106
4.232 5.430 5.145
4.232 7.307 2.106
4.232 10.860 2.088
4.232 14.417 2.073
4.232 18.160 2.073
```

Largest 10 diffraction maxima, low angle first, 15 to 90 degrees two-theta:
Position (°2θ)  Rel. int.
28.5  24
31.7  24
32.7  100
43.2  16
50.4  7
50.6  13
57.1  21
60.8  8
61.0  15
61.5  11


(4)
Starting from DFT lattice parameters and positions (GGA-PBE), the powder diffractogram of AcDy10Tm4 was simulated for Cu Ka.

Structural model:
```
AcDy10Tm4
1.0
-6.344 6.344 3.316
6.344 -6.344 3.316
6.344 6.344 -3.316
Ac Dy Tm
1 10 4
Cartesian
0.000 0.000 0.000
7.972 -2.667 1.663
3.677 -1.628 1.652
6.344 0.000 1.658
9.011 1.628 1.652
4.715 2.667 1.663
1.628 3.677 1.652
-2.667 4.715 1.663
0.000 6.344 1.658
2.667 7.972 1.663
-1.628 9.011 1.652
7.204 4.066 0.000
4.066 5.484 0.000
2.277 0.860 3.316
-0.860 2.277 3.316
```

Largest 10 diffraction maxima, low angle first, 15 to 90 degrees two-theta:
Position (°2θ)  Rel. int.
20.6  30
28.7  100
31.5  99
32.1  24
35.1  80
36.1  32
40.6  30
45.2  26
45.6  38
65.2  32


(5)
Starting from DFT lattice parameters and positions (GGA-PBE), the powder diffractogram of AcDy6Tm3 was simulated for Cu Ka.

Structural model:
```
AcDy6Tm3
1.0
4.888 2.822 4.040
-4.888 2.822 4.040
0.000 -5.644 4.040
Ac Dy Tm
1 6 3
Cartesian
0.000 0.000 0.000
-3.293 0.001 6.057
-1.475 -2.820 8.075
1.646 -2.852 6.057
-1.704 2.688 8.075
1.647 2.852 6.057
3.180 0.132 8.075
0.000 0.000 3.170
0.000 0.000 6.063
0.000 0.000 8.958
```

Largest 10 diffraction maxima, low angle first, 15 to 90 degrees two-theta:
Position (°2θ)  Rel. int.
28.7  65
31.4  17
31.7  100
36.5  15
41.0  19
43.3  21
54.6  20
56.0  15
56.5  19
66.2  12


(6)
Starting from DFT lattice parameters and positions (GGA-PBE), the powder diffractogram of AcDy3Tm8 was simulated for Cu Ka.

Structural model:
```
AcDy3Tm8
1.0
-3.140 5.661 5.757
3.140 -5.661 5.757
3.140 5.661 -5.757
Ac Dy Tm
1 3 8
Cartesian
0.000 0.000 0.000
3.140 2.992 0.000
0.000 5.661 0.000
0.000 2.670 5.757
3.140 -2.808 3.744
1.604 5.661 -2.724
1.536 0.000 3.033
0.000 2.854 2.013
3.140 2.808 3.744
1.604 5.661 2.724
1.536 0.000 8.480
0.000 8.469 2.013
```

Largest 10 diffraction maxima, low angle first, 15 to 90 degrees two-theta:
Position (°2θ)  Rel. int.
16.1  12
22.5  12
31.1  11
31.6  100
32.5  15
32.6  26
36.2  30
52.3  15
56.2  25
65.9  15


(7)
Starting from DFT lattice parameters and positions (GGA-PBE), the powder diffractogram of AcDyTm4 was simulated for Cu Ka.

Structural model:
```
AcDyTm4
1.0
3.526 0.000 0.000
0.000 5.662 0.000
0.000 0.000 9.775
Ac Dy Tm
1 1 4
Cartesian
0.000 0.000 0.000
0.000 2.831 4.887
1.763 0.000 3.316
1.763 0.000 6.459
1.763 2.831 1.705
1.763 2.831 8.070
```

Largest 10 diffraction maxima, low angle first, 15 to 90 degrees two-theta:
Position (°2θ)  Rel. int.
31.3  96
31.7  100
45.1  35
51.9  9
56.1  24
56.2  13
56.3  13
62.0  30
66.2  8
80.1  10


(8)
Starting from DFT lattice parameters and positions (GGA-PBE), the powder diffractogram of Ac8Dy3Tm2 was simulated for Cu Ka.

Structural model:
```
Ac8Dy3Tm2
1.0
6.607 0.000 0.000
-1.120 6.541 0.000
-2.223 -0.390 11.797
Ac Dy Tm
8 3 2
Cartesian
-0.512 2.666 1.773
-0.554 0.457 9.142
0.474 5.126 4.540
0.502 4.005 8.160
2.762 2.146 3.638
2.789 1.026 7.257
3.817 5.694 2.655
3.775 3.486 10.024
0.576 6.263 0.864
2.743 3.271 0.000
2.688 -0.112 10.934
-0.593 1.560 5.463
3.857 4.591 6.334
```

Largest 10 diffraction maxima, low angle first, 15 to 90 degrees two-theta:
Position (°2θ)  Rel. int.
28.6  100
28.7  50
28.8  49
33.2  68
33.3  34
47.5  25
47.8  25
56.5  15
56.6  38
56.7  23